Record 1
# Pr8Ho3Mg
Calculated powder X-ray diffraction pattern, Cu Kα. Input: the GGA-PBE geometry in Alexandria.
Intensities are scaled so that the largest is 100.

Structural model:
a b c (Å): 8.741 8.741 11.680
angles (deg): 90.00 90.00 90.00
Space group I-42m (No. 121)
Asymmetric unit:
Pr 0.128 0.128 0.252 (multiplicity 8)
Pr 0.248 0.248 0.512 (multiplicity 8)
Ho 0.000 0.000 0.500 (multiplicity 2)
Ho 0.000 0.500 0.250 (multiplicity 4)
Mg 0.000 0.000 0.000 (multiplicity 2)

Main lines, in order of falling intensity (2θ from 10° to 80°):
- 35.94°, I = 100, (3 1 2)
- 25.45°, I = 86, (2 0 2)
- 28.89°, I = 79, (2 2 0)
- 24.00°, I = 79, (2 1 1)
- 30.62°, I = 77, (0 0 4)
- 32.43°, I = 56, (2 1 3)
- 42.60°, I = 53, (2 2 4)
- 44.25°, I = 41, (4 0 2)
- 49.14°, I = 36, (4 2 2)
- 45.19°, I = 31, (3 1 4)

=====

Record 2
# Pr12Ho2Mg
Calculated powder X-ray diffraction pattern, Cu Kα. Input: the GGA-PBE geometry in Alexandria.
Intensities are scaled so that the largest is 100.

Structural model:
a b c (Å): 6.652 6.652 25.276
angles (deg): 90.00 90.00 90.00
Space group P4/nbm (No. 125, origin choice 2)
Asymmetric unit:
Pr 0.066 0.566 0.107 (multiplicity 8)
Pr 0.082 0.582 0.564 (multiplicity 8)
Pr 0.250 0.250 0.210 (multiplicity 4)
Pr 0.250 0.250 0.334 (multiplicity 4)
Ho 0.250 0.750 0.268 (multiplicity 4)
Mg 0.250 0.750 0.000 (multiplicity 2)

Main lines, in order of falling intensity (2θ from 10° to 80°):
- 27.74°, I = 100, (2 0 2)
- 30.88°, I = 75, (2 1 2)
- 31.23°, I = 52, (1 1 7)
- 54.50°, I = 49, (3 1 9)
- 33.29°, I = 46, (2 1 4)
- 28.44°, I = 42, (1 1 6)
- 38.27°, I = 40, (2 2 0)
- 30.37°, I = 39, (2 0 4)
- 31.86°, I = 33, (0 0 9)
- 50.17°, I = 31, (2 1 11)

=====

Record 3
# Pr3Ho4Mg4
Calculated powder X-ray diffraction pattern, Cu Kα. Input: the GGA-PBE geometry in Alexandria.
Intensities are scaled so that the largest is 100.

Structural model:
a b c (Å): 5.501 7.069 17.535
angles (deg): 90.00 90.00 90.00
Space group Immm (No. 71)
Asymmetric unit:
Pr 0.000 0.000 0.000 (multiplicity 2)
Pr 0.000 0.500 0.111 (multiplicity 4)
Ho 0.000 0.263 0.314 (multiplicity 8)
Mg 0.000 0.000 0.174 (multiplicity 4)
Mg 0.000 0.215 0.500 (multiplicity 4)

Main lines, in order of falling intensity (2θ from 10° to 80°):
- 30.51°, I = 100, (1 2 1)
- 32.55°, I = 55, (2 0 0)
- 22.19°, I = 51, (1 0 3)
- 33.82°, I = 50, (1 2 3)
- 30.22°, I = 49, (1 0 5)
- 27.20°, I = 38, (0 2 2)
- 28.94°, I = 34, (1 1 4)
- 10.09°, I = 31, (0 0 2)
- 39.74°, I = 25, (1 2 5)
- 28.41°, I = 25, (0 1 5)

=====

Record 4
# Pr2Ho3Mg2
Calculated powder X-ray diffraction pattern, Cu Kα. Input: the GGA-PBE geometry in Alexandria.
Intensities are scaled so that the largest is 100.

Structural model:
a b c (Å): 3.550 34.407 3.517
angles (deg): 90.00 90.00 90.00
Space group Cmmm (No. 65)
Asymmetric unit:
Pr 0.000 0.204 0.000 (multiplicity 4)
Ho 0.000 0.071 0.000 (multiplicity 4)
Ho 0.000 0.500 0.500 (multiplicity 2)
Mg 0.000 0.365 0.500 (multiplicity 4)

Main lines, in order of falling intensity (2θ from 10° to 80°):
- 31.07°, I = 100, (1 7 0)
- 36.04°, I = 70, (1 1 1)
- 32.90°, I = 67, (0 8 1)
- 54.29°, I = 40, (1 15 1)
- 29.80°, I = 32, (0 6 1)
- 62.45°, I = 28, (2 8 1)
- 61.83°, I = 28, (1 7 2)
- 36.56°, I = 26, (0 14 0)
- 10.28°, I = 24, (0 4 0)
- 40.51°, I = 24, (1 7 1)